The following is a calculated powder diffractogram of Zn2InSn2Pd5. It was derived from DFT lattice parameters and positions (PBE), using CuKα.
Peak positions follow from Bragg's law for the DFT cell and can differ from measured ones.

Structure:
Cell lengths 10.010, 10.010, 3.547 Å; angles 90.00, 90.00, 90.00 degrees
Atoms (fractional coordinates):
Zn: 0.135 0.365 0.000
Zn: 0.365 0.865 0.000
Zn: 0.635 0.135 0.000
Zn: 0.865 0.635 0.000
In: 0.000 0.000 0.000
In: 0.500 0.500 0.000
Sn: 0.158 0.658 0.000
Sn: 0.342 0.158 0.000
Sn: 0.658 0.842 0.000
Sn: 0.842 0.342 0.000
Pd: 0.000 0.500 0.500
Pd: 0.124 0.171 0.500
Pd: 0.171 0.876 0.500
Pd: 0.329 0.376 0.500
Pd: 0.376 0.671 0.500
Pd: 0.500 0.000 0.500
Pd: 0.624 0.329 0.500
Pd: 0.671 0.624 0.500
Pd: 0.829 0.124 0.500
Pd: 0.876 0.829 0.500

The 10 most intense peaks (2θ = 10–90°), low angle first:
25.16 deg, d = 3.539 Å, rel. 12.3
32.21 deg, d = 2.779 Å, rel. 9.3
35.88 deg, d = 2.503 Å, rel. 10.1
38.10 deg, d = 2.362 Å, rel. 100.0
40.29 deg, d = 2.238 Å, rel. 17.9
46.21 deg, d = 1.964 Å, rel. 11.4
51.53 deg, d = 1.774 Å, rel. 13.0
51.66 deg, d = 1.769 Å, rel. 9.7
55.05 deg, d = 1.668 Å, rel. 10.1
77.44 deg, d = 1.232 Å, rel. 14.9